The following is a computed powder diffraction line list of PmMg6Tl6. It was derived from a structure optimized by DFT (PBE), using λ = 1.5418 Å (Cu Kα).
Intensities are scaled so that the largest is 100.

Structure:
```
13
Lattice="-3.084 4.907 5.428 3.084 -4.907 5.428 3.084 4.907 -5.428" Properties=species:S:1:pos:R:3 pbc="T T T"
Pm 0.000 0.000 0.000
Mg 1.542 2.454 -2.714
Mg 1.542 -2.454 2.714
Mg 3.084 2.411 0.000
Mg -1.542 2.454 2.714
Mg 1.542 2.454 2.714
Mg 0.000 2.497 5.428
Tl 3.084 0.000 1.785
Tl 0.000 0.000 3.654
Tl 0.000 3.358 0.000
Tl 0.000 6.456 0.000
Tl 0.000 0.000 7.202
Tl 0.000 4.907 3.644
```

Principal peaks in the range 5 to 70 degrees two-theta, sorted by position:
- d = 4.907 Å, intensity 34.9
- d = 3.621 Å, intensity 23.8
- d = 3.121 Å, intensity 100.0
- d = 3.084 Å, intensity 48.6
- d = 2.634 Å, intensity 53.5
- d = 2.611 Å, intensity 26.2
- d = 2.551 Å, intensity 21.2
- d = 2.233 Å, intensity 23.9
- d = 1.560 Å, intensity 27.9
- d = 1.449 Å, intensity 23.4

=====

The following is a computed powder diffraction line list of Cs2Rb10Au3. It was derived from a structure optimized by DFT (PBE), using λ = 1.5418 Å (Cu Kα).
Intensities are scaled so that the largest is 100.

Structure:
```
30
Lattice="16.991 -5.039 0.000 16.991 5.039 0.000 -5.217 0.000 12.624" Properties=species:S:1:pos:R:3 pbc="T T T"
Cs 3.009 0.000 3.119
Cs 3.869 0.000 10.168
Cs 24.896 0.000 2.455
Cs 25.755 0.000 9.504
Rb 5.887 2.519 6.312
Rb -3.069 0.000 8.619
Rb 12.100 2.463 0.827
Rb 10.906 2.368 5.686
Rb 16.991 2.378 0.000
Rb 8.028 0.000 2.543
Rb 17.858 2.368 6.937
Rb 8.862 0.000 9.465
Rb 16.665 2.463 11.797
Rb 14.911 0.000 3.875
Rb 5.887 -2.519 6.312
Rb 13.854 0.000 8.748
Rb 12.100 -2.463 0.827
Rb 19.903 0.000 3.158
Rb 10.906 -2.368 5.686
Rb 20.737 0.000 10.081
Rb 16.991 -2.378 0.000
Rb 17.858 -2.368 6.937
Rb 16.665 -2.463 11.797
Rb 31.834 0.000 4.005
Au 14.382 2.468 6.312
Au 8.307 0.000 5.986
Au 14.485 0.000 0.357
Au 14.280 0.000 12.267
Au 20.458 0.000 6.638
Au 14.382 -2.468 6.312
```

Principal peaks in the range 5 to 70 degrees two-theta, sorted by position:
- d = 9.596 Å, intensity 42.3
- d = 5.666 Å, intensity 68.6
- d = 3.934 Å, intensity 81.8
- d = 3.764 Å, intensity 100.0
- d = 3.724 Å, intensity 51.4
- d = 3.186 Å, intensity 57.0
- d = 2.826 Å, intensity 40.2
- d = 2.519 Å, intensity 42.3
- d = 2.498 Å, intensity 78.6
- d = 2.390 Å, intensity 33.3